Diffraction record for KCrIO6. The X-ray diffraction stick pattern is computed, not measured: it uses the GGA+U geometry in Alexandria and Cu Kα.

Cell and atoms:
```
KCrIO6
1.0
9.5896 0.0000 0.0000
0.0000 4.7921 0.0000
-4.5033 0.0000 13.6320
K Cr I O
4 4 4 24
direct
0.1066 0.1011 0.1602 K
0.1066 0.3989 0.6602 K
0.8934 0.6011 0.3398 K
0.8934 0.8989 0.8398 K
0.2247 0.5298 0.9663 Cr
0.2247 0.9702 0.4663 Cr
0.7753 0.0298 0.5337 Cr
0.7753 0.4702 0.0337 Cr
0.4307 0.6772 0.3329 I
0.4307 0.8228 0.8329 I
0.5693 0.1772 0.1671 I
0.5693 0.3228 0.6671 I
0.1226 0.0977 0.3619 O
0.1226 0.4023 0.8619 O
0.1266 0.7464 0.0069 O
0.1266 0.7536 0.5069 O
0.2495 0.5993 0.2536 O
0.2495 0.9007 0.7536 O
0.2904 0.2176 0.5471 O
0.2904 0.2824 0.0471 O
0.3801 0.7162 0.9489 O
0.3801 0.7838 0.4489 O
0.4490 0.0323 0.2892 O
0.4490 0.4677 0.7892 O
0.5510 0.5323 0.2108 O
0.5510 0.9677 0.7108 O
0.6199 0.2162 0.5511 O
0.6199 0.2838 0.0511 O
0.7096 0.7176 0.9529 O
0.7096 0.7824 0.4529 O
0.7505 0.0993 0.2464 O
0.7505 0.4007 0.7464 O
0.8734 0.2464 0.4931 O
0.8734 0.2536 0.9931 O
0.8774 0.5977 0.1381 O
0.8774 0.9023 0.6381 O
```

The 10 most intense peaks (15° ≤ 2θ ≤ 90°), low angle first:
hkl	Position (°2θ)	d_spacing	I (rel.)
1 0 2	18.5	4.784	66
0 1 2	22.7	3.920	98
1 1 -2	23.0	3.863	49
2 1 -1	26.3	3.388	100
2 0 2	26.7	3.334	81
0 1 3	27.0	3.299	89
2 1 -2	27.2	3.277	53
2 0 -4	27.3	3.263	82
0 2 1	38.1	2.360	30
2 1 4	42.2	2.140	30